# Tb3ThN4
Calculated powder diffraction line list, CuKα. Input: the GGA-PBE geometry in OQMD.
No peak broadening, texture or thermal motion is included.

Cell and atoms:
Lattice parameters (Å, degrees): 7.060 9.965 3.538 90.00 90.00 90.00
Fractional positions:
Tb1 0.000 0.000 0.000
Tb2 0.250 0.250 0.500
Tb3 0.250 0.750 0.500
Tb4 0.500 0.500 0.000
Tb5 0.750 0.250 0.500
Tb6 0.750 0.750 0.500
Th1 0.000 0.500 0.000
Th2 0.500 0.000 0.000
N1 0.000 0.251 0.000
N2 0.000 0.749 0.000
N3 0.249 0.000 0.500
N4 0.251 0.500 0.500
N5 0.500 0.249 0.000
N6 0.500 0.751 0.000
N7 0.749 0.500 0.500
N8 0.751 0.000 0.500

The 10 most intense peaks (2θ from 15° to 90°), low angle first:
31.02°, I 100; 35.94°, I 47; 36.05°, I 23; 51.82°, I 41; 61.56°, I 30; 61.71°, I 15; 64.62°, I 8; 64.73°, I 8; 84.65°, I 16; 87.31°, I 11

=====

# TlW3N5
Calculated powder diffraction line list, CuKα. Input: the GGA-PBE geometry in OQMD.
No peak broadening, texture or thermal motion is included.

Cell and atoms:
Lattice parameters (Å, degrees): 5.269 5.269 6.043 90.00 90.00 120.00
Fractional positions:
Tl1 0.000 0.000 0.000
W1 0.000 0.500 0.500
W2 0.500 0.000 0.500
W3 0.500 0.500 0.500
N1 0.000 0.000 0.500
N2 0.333 0.667 0.274
N3 0.333 0.667 0.726
N4 0.667 0.333 0.274
N5 0.667 0.333 0.726

The 10 most intense peaks (2θ from 15° to 90°), low angle first:
24.44°, I 100; 29.56°, I 37; 37.23°, I 32; 39.49°, I 56; 42.34°, I 22; 49.46°, I 14; 50.10°, I 65; 55.39°, I 22; 75.47°, I 18; 79.34°, I 15

=====

# Zr4TlN3
Calculated powder diffraction line list, CuKα. Input: the GGA-PBE geometry in OQMD.
No peak broadening, texture or thermal motion is included.

Cell and atoms:
Lattice parameters (Å, degrees): 3.280 3.280 25.624 90.00 90.00 120.00
Fractional positions:
Zr1 0.000 0.000 0.152
Zr2 0.000 0.000 0.348
Zr3 0.000 0.000 0.652
Zr4 0.000 0.000 0.848
Zr5 0.333 0.667 0.053
Zr6 0.333 0.667 0.447
Zr7 0.667 0.333 0.553
Zr8 0.667 0.333 0.947
Tl1 0.333 0.667 0.250
Tl2 0.667 0.333 0.750
N1 0.000 0.000 0.000
N2 0.000 0.000 0.500
N3 0.333 0.667 0.604
N4 0.333 0.667 0.896
N5 0.667 0.333 0.104
N6 0.667 0.333 0.396

The 10 most intense peaks (2θ from 15° to 90°), low angle first:
31.69°, I 56; 34.54°, I 58; 35.02°, I 45; 36.15°, I 100; 38.04°, I 79; 45.08°, I 20; 50.68°, I 25; 56.07°, I 45; 63.55°, I 18; 67.85°, I 40

=====

# Tm2N3
Calculated powder diffraction line list, CuKα. Input: the GGA-PBE geometry in OQMD.
No peak broadening, texture or thermal motion is included.

Cell and atoms:
Lattice parameters (Å, degrees): 9.247 9.247 9.247 109.47 109.47 109.47
Fractional positions:
Tm1 0.000 0.000 0.500
Tm2 0.000 0.500 0.000
Tm3 0.029 0.750 0.779
Tm4 0.221 0.971 0.250
Tm5 0.250 0.221 0.971
Tm6 0.250 0.721 0.471
Tm7 0.279 0.529 0.750
Tm8 0.471 0.250 0.721
Tm9 0.500 0.000 0.000
Tm10 0.500 0.500 0.500
Tm11 0.529 0.750 0.279
Tm12 0.721 0.471 0.250
Tm13 0.750 0.279 0.529
Tm14 0.750 0.779 0.029
Tm15 0.779 0.029 0.750
Tm16 0.971 0.250 0.221
N1 0.011 0.038 0.270
N2 0.027 0.489 0.760
N3 0.038 0.270 0.011
N4 0.230 0.268 0.740
N5 0.232 0.462 0.473
N6 0.240 0.973 0.511
N7 0.260 0.770 0.732
N8 0.268 0.740 0.230
N9 0.270 0.011 0.038
N10 0.462 0.473 0.232
N11 0.473 0.232 0.462
N12 0.489 0.760 0.027
N13 0.511 0.240 0.973
N14 0.527 0.768 0.538
N15 0.538 0.527 0.768
N16 0.730 0.989 0.962
N17 0.732 0.260 0.770
N18 0.740 0.230 0.268
N19 0.760 0.027 0.489
N20 0.768 0.538 0.527
N21 0.770 0.732 0.260
N22 0.962 0.730 0.989
N23 0.973 0.511 0.240
N24 0.989 0.962 0.730

The 10 most intense peaks (2θ from 15° to 90°), low angle first:
20.37°, I 8; 28.97°, I 100; 33.57°, I 38; 43.20°, I 7; 48.21°, I 38; 57.23°, I 34; 58.64°, I 5; 60.03°, I 8; 78.01°, I 10; 80.45°, I 8

=====

# YTmN4
Calculated powder diffraction line list, CuKα. Input: the GGA-PBE geometry in OQMD.
No peak broadening, texture or thermal motion is included.

Cell and atoms:
Lattice parameters (Å, degrees): 7.422 4.337 4.775 90.00 90.39 90.00
Fractional positions:
Y1 0.000 0.000 0.000
Y2 0.500 0.500 0.000
Tm1 0.335 0.000 0.486
Tm2 0.835 0.500 0.486
N1 0.003 0.000 0.476
N2 0.166 0.500 0.853
N3 0.170 0.500 0.609
N4 0.333 0.000 0.012
N5 0.503 0.500 0.476
N6 0.666 0.000 0.853
N7 0.670 0.000 0.609
N8 0.833 0.500 0.012

The 10 most intense peaks (2θ from 15° to 90°), low angle first:
23.76°, I 60; 23.98°, I 30; 30.28°, I 100; 30.39°, I 87; 30.61°, I 48; 37.68°, I 42; 41.65°, I 38; 42.04°, I 73; 57.41°, I 24; 57.90°, I 24

=====

# W5N6
Calculated powder diffraction line list, CuKα. Input: the GGA-PBE geometry in OQMD.
No peak broadening, texture or thermal motion is included.

Cell and atoms:
Lattice parameters (Å, degrees): 4.898 4.898 11.268 90.00 90.00 120.00
Fractional positions:
W1 0.000 0.000 0.250
W2 0.000 0.000 0.750
W3 0.333 0.667 0.000
W4 0.333 0.667 0.250
W5 0.333 0.667 0.500
W6 0.333 0.667 0.750
W7 0.667 0.333 0.000
W8 0.667 0.333 0.250
W9 0.667 0.333 0.500
W10 0.667 0.333 0.750
N1 0.000 0.333 0.130
N2 0.000 0.333 0.370
N3 0.000 0.667 0.630
N4 0.000 0.667 0.870
N5 0.333 0.000 0.130
N6 0.333 0.000 0.370
N7 0.333 0.333 0.630
N8 0.333 0.333 0.870
N9 0.667 0.000 0.630
N10 0.667 0.000 0.870
N11 0.667 0.667 0.130
N12 0.667 0.667 0.370

The 10 most intense peaks (2θ from 15° to 90°), low angle first:
15.73°, I 12; 20.94°, I 17; 26.30°, I 20; 31.76°, I 43; 36.70°, I 97; 49.31°, I 100; 66.09°, I 22; 75.19°, I 24; 78.31°, I 23; 86.71°, I 20

=====

# Y2Zn3W4N3
Calculated powder diffraction line list, CuKα. Input: the GGA-PBE geometry in OQMD.
No peak broadening, texture or thermal motion is included.

Cell and atoms:
Lattice parameters (Å, degrees): 5.519 5.519 13.604 101.58 101.58 60.43
Fractional positions:
Y1 0.040 0.878 0.619
Y2 0.122 0.960 0.881
Y3 0.878 0.040 0.119
Y4 0.960 0.122 0.381
Zn1 0.084 0.402 0.750
Zn2 0.402 0.084 0.250
Zn3 0.431 0.569 0.250
Zn4 0.569 0.431 0.750
Zn5 0.598 0.916 0.750
Zn6 0.916 0.598 0.250
W1 0.197 0.362 0.075
W2 0.315 0.465 0.425
W3 0.362 0.197 0.575
W4 0.465 0.315 0.925
W5 0.535 0.685 0.075
W6 0.638 0.803 0.425
W7 0.685 0.535 0.575
W8 0.803 0.638 0.925
N1 0.000 0.500 0.500
N2 0.156 0.689 0.000
N3 0.311 0.844 0.500
N4 0.500 0.000 0.000
N5 0.689 0.156 0.500
N6 0.844 0.311 0.000

The 10 most intense peaks (2θ from 15° to 90°), low angle first:
18.62°, I 20; 32.23°, I 11; 32.45°, I 16; 32.95°, I 10; 33.16°, I 23; 38.30°, I 47; 38.48°, I 100; 40.90°, I 38; 57.61°, I 17; 59.43°, I 12

=====

# Zr4Zn3W2N3
Calculated powder diffraction line list, CuKα. Input: the GGA-PBE geometry in OQMD.
No peak broadening, texture or thermal motion is included.

Cell and atoms:
Lattice parameters (Å, degrees): 5.548 5.548 13.820 101.39 101.39 60.07
Fractional positions:
Zr1 0.030 0.198 0.099
Zr2 0.132 0.305 0.401
Zr3 0.198 0.030 0.599
Zr4 0.305 0.132 0.901
Zr5 0.695 0.868 0.099
Zr6 0.802 0.970 0.401
Zr7 0.868 0.695 0.599
Zr8 0.970 0.802 0.901
Zn1 0.143 0.857 0.250
Zn2 0.316 0.413 0.750
Zn3 0.413 0.316 0.250
Zn4 0.587 0.684 0.750
Zn5 0.684 0.587 0.250
Zn6 0.857 0.143 0.750
W1 0.354 0.525 0.075
W2 0.475 0.646 0.425
W3 0.525 0.354 0.575
W4 0.646 0.475 0.925
N1 0.000 0.500 0.000
N2 0.158 0.671 0.500
N3 0.329 0.842 0.000
N4 0.500 0.000 0.500
N5 0.671 0.158 0.000
N6 0.842 0.329 0.500

The 10 most intense peaks (2θ from 15° to 90°), low angle first:
18.58°, I 16; 32.26°, I 35; 32.96°, I 11; 38.10°, I 100; 38.20°, I 49; 40.21°, I 25; 52.41°, I 13; 57.53°, I 29; 71.08°, I 13; 72.41°, I 11